Entry 1:
The following is a calculated X-ray diffraction stick pattern of Rb3PrF6. It was derived from a cell relaxed with PBE, using Cu Ka.

Principal peaks in the range 10° ≤ 2θ ≤ 90°, most intense first:
2θ (°)	I/Imax
23.9	100
24.9	96
42.7	60
44.4	36
34.1	28
36.8	21
15.0	21
51.0	18
55.7	17
68.2	17

Atomic structure:
```
10
Lattice="-3.7201 3.7201 4.8854 3.7201 -3.7201 4.8854 3.7201 3.7201 -4.8854" Properties=species:S:1:pos:R:3 pbc="T T T"
Rb 0.0000 0.0000 0.0000
Rb 3.7201 0.0000 2.4427
Rb 0.0000 3.7201 2.4427
Pr 0.0000 0.0000 4.8854
F 3.7201 1.4206 0.0000
F 0.0000 0.0000 2.5610
F 1.4206 3.7201 0.0000
F 2.2995 0.0000 4.8854
F 0.0000 0.0000 7.2098
F 0.0000 2.2995 4.8854
```

Entry 2:
The following is a calculated X-ray diffraction stick pattern of Nd11Hg9Rh4. It was derived from a cell relaxed with PBE, using Cu Ka.

Principal peaks in the range 10° ≤ 2θ ≤ 90°, most intense first:
2θ (°)	I/Imax
33.9	100
34.4	47
60.2	19
47.9	16
49.4	12
61.2	11
31.6	11
37.5	11
30.0	10
32.1	10

Atomic structure:
```
24
Lattice="7.3778 -11.0825 0.0000 7.3778 11.0825 0.0000 0.0000 0.0000 3.7998" Properties=species:S:1:pos:R:3 pbc="T T T"
Nd 0.0000 0.0000 0.0000
Nd 3.6516 3.7255 0.0000
Nd 7.3778 7.4193 0.0000
Nd 4.4972 0.0000 0.0000
Nd 7.3778 2.8229 0.0000
Nd 3.6516 -3.7255 0.0000
Nd 11.1041 3.7255 0.0000
Nd 7.3778 -2.8229 0.0000
Nd 10.2585 0.0000 0.0000
Nd 7.3778 -7.4193 0.0000
Nd 11.1041 -3.7255 0.0000
Hg 2.0781 1.6244 1.8999
Hg 5.8084 5.2728 1.8999
Hg 2.0781 -1.6244 1.8999
Hg 8.9473 5.2728 1.8999
Hg 7.3778 0.0000 1.8999
Hg 5.8084 -5.2728 1.8999
Hg 12.6775 1.6244 1.8999
Hg 8.9473 -5.2728 1.8999
Hg 12.6775 -1.6244 1.8999
Rh 5.1664 2.2135 1.8999
Rh 5.1664 -2.2135 1.8999
Rh 9.5893 2.2135 1.8999
Rh 9.5893 -2.2135 1.8999
```

Entry 3:
The following is a calculated X-ray diffraction stick pattern of Cs2CuAgO2. It was derived from a cell relaxed with PBE, using Cu Ka.

Principal peaks in the range 10° ≤ 2θ ≤ 90°, most intense first:
2θ (°)	I/Imax
27.0	100
22.5	59
32.6	33
50.2	30
39.4	23
37.6	23
34.6	22
51.2	17
47.8	15
48.4	14

Atomic structure:
```
12
Lattice="6.8501 -3.9656 0.0000 6.8501 3.9656 0.0000 0.0000 0.0000 5.9963" Properties=species:S:1:pos:R:3 pbc="T T T"
Cs 2.3198 1.2549 1.4991
Cs 2.3198 -1.2549 4.4972
Cs 11.3804 1.2549 1.4991
Cs 11.3804 -1.2549 4.4972
Cu 6.8501 2.0125 1.4991
Cu 6.8501 -2.0125 4.4972
Ag 6.8501 0.0000 0.0000
Ag 6.8501 0.0000 2.9981
O 5.0773 2.1087 1.4991
O 8.6229 2.1087 1.4991
O 5.0773 -2.1087 4.4972
O 8.6229 -2.1087 4.4972
```

Entry 4:
The following is a calculated X-ray diffraction stick pattern of CeAl2GaSi. It was derived from a cell relaxed with PBE, using Cu Ka.

Principal peaks in the range 10° ≤ 2θ ≤ 90°, most intense first:
2θ (°)	I/Imax
33.3	100
21.6	96
40.0	75
25.0	50
30.7	42
43.9	38
12.4	29
56.2	28
51.2	23
44.1	21

Atomic structure:
```
5
Lattice="4.1222 0.0000 0.0000 0.0000 4.1222 0.0000 0.0000 0.0000 7.1122" Properties=species:S:1:pos:R:3 pbc="T T T"
Ce 0.0000 0.0000 0.0000
Al 0.0000 2.0611 2.4432
Al 2.0611 0.0000 2.4432
Ga 0.0000 0.0000 4.0238
Si 2.0611 2.0611 0.6920
```

Entry 5:
The following is a calculated X-ray diffraction stick pattern of Dy2CoNi12P3. It was derived from a cell relaxed with PBE, using Cu Ka.

Principal peaks in the range 10° ≤ 2θ ≤ 90°, most intense first:
2θ (°)	I/Imax
43.0	100
46.2	56
31.3	35
22.9	20
81.0	20
64.9	19
28.9	16
49.2	15
78.7	15
43.9	14

Atomic structure:
```
18
Lattice="4.2115 2.4315 3.8879 -4.2115 2.4315 3.8879 0.0000 -4.8631 3.8879" Properties=species:S:1:pos:R:3 pbc="T T T"
Dy 0.0000 0.0000 2.1946
Dy 0.0000 0.0000 9.4690
Co 0.0000 0.0000 5.8318
Ni 0.0000 -2.4748 3.2654
Ni -2.1433 1.2374 3.2654
Ni -2.0469 -1.1818 6.0659
Ni 0.0000 -2.3636 5.5978
Ni -2.0469 1.1818 5.5978
Ni -2.1433 -1.2374 8.3983
Ni 2.1433 1.2374 3.2654
Ni 2.0470 -1.1818 6.0659
Ni 0.0000 2.3636 6.0659
Ni 2.0469 1.1818 5.5977
Ni 2.1433 -1.2374 8.3983
Ni 0.0000 2.4748 8.3983
P -2.1058 -1.2158 3.8879
P -2.1058 1.2158 7.7758
P 0.0000 2.4315 3.8879
```

Entry 6:
The following is a calculated X-ray diffraction stick pattern of PaInHg2F8. It was derived from a cell relaxed with PBE, using Cu Ka.

Principal peaks in the range 10° ≤ 2θ ≤ 90°, most intense first:
2θ (°)	I/Imax
25.7	100
48.2	37
44.0	33
28.0	27
40.0	21
54.9	13
70.1	13
75.4	11
52.9	11
78.6	9

Atomic structure:
```
12
Lattice="-3.1866 3.1866 5.4003 3.1866 -3.1866 5.4003 3.1866 3.1866 -5.4003" Properties=species:S:1:pos:R:3 pbc="T T T"
Pa 0.0000 0.0000 0.0000
In 3.1866 0.0000 2.7002
Hg 0.0000 0.0000 5.4003
Hg 0.0000 3.1866 2.7002
F 1.3220 1.2433 -1.3107
F 5.0512 1.2433 -1.3107
F 1.2433 1.3220 1.3107
F 1.9432 -1.8646 6.7110
F -1.8646 1.9432 4.0897
F 1.8646 1.9432 4.0897
F 1.2433 5.0512 1.3107
F 1.9432 1.8646 6.7110
```